# CeMgZrCd
Computed X-ray diffraction stick pattern, λ = 1.5418 Å (Cu Kα). Input: a crystal structure in Alexandria, relaxed with GGA-PBE.
Lines closer than 0.1° are merged.

Peak list (10 most intense, 2θ from 10° to 80°, in order of rising 2θ)
h k l	Position (°2θ)	d (Å)	I/Imax
1 1 1	21.0	4.236	17
2 0 0	24.3	3.669	8
2 2 0	34.6	2.594	100
3 1 1	40.8	2.212	9
4 0 0	49.7	1.834	18
3 3 1	54.5	1.683	4
4 2 0	56.1	1.641	3
4 2 2	62.0	1.498	35
5 1 1	66.2	1.412	3
4 4 0	72.9	1.297	11

Atomic structure:
Unit cell a=7.3370 b=7.3370 c=7.3370 alpha=90.00 beta=90.00 gamma=90.00
Space group F-43m (No. 216)
Unique sites:
Ce1 0.0000 0.0000 0.0000 (multiplicity 4)
Mg1 0.2500 0.2500 0.7500 (multiplicity 4)
Zr1 0.0000 0.0000 0.5000 (multiplicity 4)
Cd1 0.2500 0.2500 0.2500 (multiplicity 4)

---

# Ce2CdMo
Computed X-ray diffraction stick pattern, λ = 1.5418 Å (Cu Kα). Input: a crystal structure in Alexandria, relaxed with GGA-PBE.
Lines closer than 0.1° are merged.

Peak list (10 most intense, 2θ from 10° to 80°, in order of rising 2θ)
h k l	Position (°2θ)	d (Å)	I/Imax
1 0 2	33.8	2.649	100
1 1 0	37.4	2.407	44
1 0 3	41.7	2.168	9
0 0 4	42.9	2.109	8
1 1 3	49.9	1.828	7
2 0 0	53.9	1.702	15
1 1 4	58.2	1.586	12
1 0 5	61.3	1.512	7
2 1 2	65.2	1.432	29
2 0 4	71.2	1.324	7

Atomic structure:
Unit cell a=3.4038 b=3.4038 c=8.4353 alpha=90.00 beta=90.00 gamma=90.00
Space group P4/mmm (No. 123)
Unique sites:
Ce1 0.0000 0.0000 0.2088 (multiplicity 2)
Cd1 0.5000 0.5000 0.5000 (multiplicity 1)
Mo1 0.5000 0.5000 0.0000 (multiplicity 1)

---

# CeNbCd
Computed X-ray diffraction stick pattern, λ = 1.5418 Å (Cu Kα). Input: a crystal structure in Alexandria, relaxed with GGA-PBE.
Lines closer than 0.1° are merged.

Peak list (10 most intense, 2θ from 10° to 80°, in order of rising 2θ)
h k l	Position (°2θ)	d (Å)	I/Imax
1 1 0	28.0	3.188	23
1 1 2	33.9	2.641	100
1 1 -1	35.0	2.564	62
0 2 1	38.1	2.362	38
2 0 0	38.5	2.337	18
0 0 3	43.3	2.091	20
2 2 1	55.3	1.661	12
2 0 3	57.9	1.593	13
1 3 3	66.2	1.412	19
2 -2 2	71.4	1.320	10

Atomic structure:
Unit cell a=4.6779 b=4.7240 c=6.7071 alpha=69.41 beta=87.69 gamma=89.96
Space group P-1 (No. 2)
Unique sites:
Ce1 0.1874 0.4094 0.1818 (multiplicity 2)
Nb1 0.1817 0.7354 0.5268 (multiplicity 2)
Cd1 0.3080 0.1002 0.7983 (multiplicity 2)

---

# CeNd6Cd5
Computed X-ray diffraction stick pattern, λ = 1.5418 Å (Cu Kα). Input: a crystal structure in Alexandria, relaxed with GGA-PBE.
Lines closer than 0.1° are merged.

Peak list (10 most intense, 2θ from 10° to 80°, in order of rising 2θ)
h k l	Position (°2θ)	d (Å)	I/Imax
1 2 3	32.5	2.756	100
2 0 0	32.9	2.723	49
0 4 0	46.0	1.973	9
2 0 6	47.2	1.925	17
2 4 0	57.7	1.598	18
3 2 3	58.5	1.578	35
2 4 6	68.0	1.378	11
1 6 3	76.5	1.245	7
3 2 9	78.3	1.221	7
4 0 6	78.6	1.218	7

Atomic structure:
Unit cell a=5.4418 b=7.8916 c=16.3505 alpha=90.00 beta=90.00 gamma=90.00
Space group Immm (No. 71)
Unique sites:
Ce1 0.0000 0.0000 0.0000 (multiplicity 2)
Nd1 0.0000 0.2309 0.5000 (multiplicity 4)
Nd2 0.0000 0.2564 0.1703 (multiplicity 8)
Cd1 0.0000 0.0000 0.3307 (multiplicity 4)
Cd2 0.0000 0.5000 0.0000 (multiplicity 2)
Cd3 0.0000 0.5000 0.3435 (multiplicity 4)

---

# CeNdCd6
Computed X-ray diffraction stick pattern, λ = 1.5418 Å (Cu Kα). Input: a crystal structure in Alexandria, relaxed with GGA-PBE.
Lines closer than 0.1° are merged.

Peak list (10 most intense, 2θ from 10° to 80°, in order of rising 2θ)
h k l	Position (°2θ)	d (Å)	I/Imax
0 2 2	29.8	2.993	18
0 0 4	31.1	2.878	17
1 2 2	35.0	2.566	100
2 0 0	36.0	2.492	67
2 2 2	47.5	1.915	10
2 0 4	48.3	1.884	10
0 2 6	54.5	1.683	15
3 2 2	64.1	1.453	16
2 4 0	65.1	1.433	18
2 2 6	67.1	1.395	16

Atomic structure:
Unit cell a=4.9841 b=7.0090 c=11.5128 alpha=90.00 beta=90.00 gamma=90.00
Space group Amm2 (No. 38)
Unique sites:
Ce1 0.0000 0.0000 0.0000 (multiplicity 2)
Nd1 0.5000 0.0000 0.3023 (multiplicity 2)
Cd1 0.0000 0.0000 0.4849 (multiplicity 2)
Cd2 0.0000 0.2206 0.7372 (multiplicity 4)
Cd3 0.5000 0.0000 0.8202 (multiplicity 2)
Cd4 0.5000 0.2241 0.5642 (multiplicity 4)

---

# CeNd5Cd6
Computed X-ray diffraction stick pattern, λ = 1.5418 Å (Cu Kα). Input: a crystal structure in Alexandria, relaxed with GGA-PBE.
Lines closer than 0.1° are merged.

Peak list (10 most intense, 2θ from 10° to 80°, in order of rising 2θ)
h k l	Position (°2θ)	d (Å)	I/Imax
1 3 -1	23.1	3.846	1
1 3 1	32.9	2.724	100
4 0 0	47.0	1.932	6
2 6 -2	47.3	1.923	12
2 0 2	58.6	1.575	12
5 3 -3	58.8	1.571	24
2 6 2	68.9	1.363	8
4 0 -4	69.1	1.360	4
5 3 1	78.3	1.221	5
4 6 -4	78.7	1.216	10

Atomic structure:
Unit cell a=9.4467 b=16.3143 c=5.4398 alpha=90.00 beta=125.11 gamma=90.00
Space group C2/m (No. 12)
Unique sites:
Ce1 0.0000 0.0000 0.0000 (multiplicity 2)
Nd1 0.0000 0.1641 0.5000 (multiplicity 4)
Nd2 0.0000 0.3325 0.0000 (multiplicity 4)
Nd3 0.0000 0.5000 0.5000 (multiplicity 2)
Cd1 0.2463 0.5000 0.2462 (multiplicity 4)
Cd2 0.2484 0.3326 0.7483 (multiplicity 8)

---

# CeCd2Ni6
Computed X-ray diffraction stick pattern, λ = 1.5418 Å (Cu Kα). Input: a crystal structure in Alexandria, relaxed with GGA-PBE.
Lines closer than 0.1° are merged.

Peak list (10 most intense, 2θ from 10° to 80°, in order of rising 2θ)
h k l	Position (°2θ)	d (Å)	I/Imax
2 2 0	30.8	2.905	84
3 1 1	36.3	2.477	39
2 2 2	37.9	2.372	79
4 0 0	44.1	2.054	100
3 3 1	48.3	1.885	53
4 2 2	54.7	1.677	19
3 3 3	58.4	1.581	20
4 4 0	64.1	1.452	51
6 2 0	72.8	1.299	26
6 2 2	77.0	1.239	14

Atomic structure:
Unit cell a=8.2156 b=8.2156 c=8.2156 alpha=90.00 beta=90.00 gamma=90.00
Space group Fm-3m (No. 225)
Unique sites:
Ce1 0.0000 0.0000 0.0000 (multiplicity 4)
Cd1 0.2500 0.2500 0.2500 (multiplicity 8)
Ni1 0.0000 0.0000 0.2913 (multiplicity 24)

---

# Ce2Cd2Ni15
Computed X-ray diffraction stick pattern, λ = 1.5418 Å (Cu Kα). Input: a crystal structure in Alexandria, relaxed with GGA-PBE.
Lines closer than 0.1° are merged.

Peak list (10 most intense, 2θ from 10° to 80°, in order of rising 2θ)
h k l	Position (°2θ)	d (Å)	I/Imax
1 0 4	31.2	2.866	30
3 0 0	36.8	2.444	67
0 2 4	37.9	2.373	43
2 2 0	42.7	2.116	78
0 3 3	42.9	2.106	100
0 0 6	43.6	2.076	29
2 1 4	43.7	2.070	35
2 2 3	48.3	1.886	43
6 0 0	78.2	1.222	34
0 3 9	79.6	1.204	21

Atomic structure:
Unit cell a=8.4653 b=8.4653 c=12.4576 alpha=90.00 beta=90.00 gamma=120.00
Space group R-3m (No. 166, hexagonal axes)
Unique sites:
Ce1 0.0000 0.0000 0.1478 (multiplicity 6)
Cd1 0.0000 0.0000 0.3963 (multiplicity 6)
Ni1 0.0000 0.3107 0.5000 (multiplicity 18)
Ni2 0.0000 0.5000 0.0000 (multiplicity 9)
Ni3 0.0071 0.5036 0.6562 (multiplicity 18)

---

# CeNpCd2O8
Computed X-ray diffraction stick pattern, λ = 1.5418 Å (Cu Kα). Input: a crystal structure in Alexandria, relaxed with GGA-PBE.
Lines closer than 0.1° are merged.

Peak list (10 most intense, 2θ from 10° to 80°, in order of rising 2θ)
h k l	Position (°2θ)	d (Å)	I/Imax
1 1 0	17.8	4.993	14
0 2 0	24.9	3.578	57
2 0 0	25.6	3.486	48
1 1 2	30.8	2.905	100
2 2 0	36.0	2.497	27
1 3 2	47.7	1.908	39
3 1 2	48.4	1.879	35
0 0 4	51.1	1.787	18
2 0 4	58.0	1.590	17
3 3 2	61.5	1.509	21

Atomic structure:
Unit cell a=6.9710 b=7.1557 c=7.1439 alpha=90.00 beta=90.00 gamma=90.00
Space group Cmmm (No. 65)
Unique sites:
Ce1 0.0000 0.0000 0.0000 (multiplicity 2)
Np1 0.0000 0.0000 0.5000 (multiplicity 2)
Cd1 0.0000 0.5000 0.2515 (multiplicity 4)
O1 0.0000 0.1799 0.2781 (multiplicity 8)
O2 0.2032 0.5000 0.0000 (multiplicity 4)
O3 0.2177 0.5000 0.5000 (multiplicity 4)

---

# CeCd2OsO8
Computed X-ray diffraction stick pattern, λ = 1.5418 Å (Cu Kα). Input: a crystal structure in Alexandria, relaxed with GGA-PBE.
Lines closer than 0.1° are merged.

Peak list (10 most intense, 2θ from 10° to 80°, in order of rising 2θ)
h k l	Position (°2θ)	d (Å)	I/Imax
1 0 -1	24.3	3.665	64
1 0 1	25.7	3.471	52
1 2 0	31.8	2.813	100
0 0 2	35.6	2.524	15
2 0 0	35.7	2.517	14
2 2 -1	47.7	1.906	42
2 2 1	49.3	1.849	35
0 2 3	61.5	1.507	11
3 2 0	61.7	1.504	11
0 4 2	66.5	1.407	11

Atomic structure:
Unit cell a=5.0406 b=6.7804 c=5.0548 alpha=90.00 beta=93.10 gamma=90.00
Space group P2/m (No. 10)
Unique sites:
Ce1 0.0000 0.0000 0.0000 (multiplicity 1)
Cd1 0.5000 0.2551 0.5000 (multiplicity 2)
Os1 0.0000 0.5000 0.0000 (multiplicity 1)
O1 0.1768 0.2976 0.8259 (multiplicity 4)
O2 0.2690 0.5000 0.2713 (multiplicity 2)
O3 0.2935 0.0000 0.2951 (multiplicity 2)

---

# Ce2CdSe2O2
Computed X-ray diffraction stick pattern, λ = 1.5418 Å (Cu Kα). Input: a crystal structure in Alexandria, relaxed with GGA-PBE.
Lines closer than 0.1° are merged.

Peak list (10 most intense, 2θ from 10° to 80°, in order of rising 2θ)
h k l	Position (°2θ)	d (Å)	I/Imax
1 0 1	22.7	3.910	17
1 0 4	29.3	3.052	100
1 1 0	31.7	2.826	23
1 1 2	33.1	2.708	23
1 0 6	36.3	2.475	25
1 1 4	37.1	2.426	30
2 0 0	45.4	1.998	35
1 1 8	50.3	1.813	23
2 1 4	54.9	1.672	34
2 1 6	59.5	1.555	12

Atomic structure:
Unit cell a=3.9968 b=3.9968 c=18.9092 alpha=90.00 beta=90.00 gamma=90.00
Space group P4_2/nmc (No. 137, origin choice 2)
Unique sites:
Ce1 0.2500 0.2500 0.0651 (multiplicity 4)
Cd1 0.2500 0.7500 0.2500 (multiplicity 2)
Se1 0.2500 0.2500 0.3470 (multiplicity 4)
O1 0.2500 0.7500 0.0006 (multiplicity 4)

---

Repeat the third record exactly.
# CeNbCd
Computed X-ray diffraction stick pattern, λ = 1.5418 Å (Cu Kα). Input: a crystal structure in Alexandria, relaxed with GGA-PBE.
Lines closer than 0.1° are merged.

Peak list (10 most intense, 2θ from 10° to 80°, in order of rising 2θ)
h k l	Position (°2θ)	d (Å)	I/Imax
1 1 0	28.0	3.188	23
1 1 2	33.9	2.641	100
1 1 -1	35.0	2.564	62
0 2 1	38.1	2.362	38
2 0 0	38.5	2.337	18
0 0 3	43.3	2.091	20
2 2 1	55.3	1.661	12
2 0 3	57.9	1.593	13
1 3 3	66.2	1.412	19
2 -2 2	71.4	1.320	10

Atomic structure:
Unit cell a=4.6779 b=4.7240 c=6.7071 alpha=69.41 beta=87.69 gamma=89.96
Space group P-1 (No. 2)
Unique sites:
Ce1 0.1874 0.4094 0.1818 (multiplicity 2)
Nb1 0.1817 0.7354 0.5268 (multiplicity 2)
Cd1 0.3080 0.1002 0.7983 (multiplicity 2)

---

Which formula does entry 10 have? CeCd2OsO8